(1)
Theoretical powder diffractogram
Compound: Pu2GaSnAu6
Radiation: Cu Kα
Structure: a cell relaxed with GGA-PBE
Peak positions follow from Bragg's law for the DFT cell and can differ from measured ones.

Largest 10 diffraction maxima, most intense first, 10° ≤ 2θ ≤ 90°:
2θ (°)	intensity
37.48	100
38.73	70
35.60	67
34.41	65
39.18	65
36.68	64
34.16	49
28.68	47
31.86	45
66.58	40

Cell and atoms:
a b c (Å): 5.5052 6.8945 6.9737
angles (deg): 89.92 66.88 66.59
Element x y z (fractional)
Pu 0.2488 0.2586 0.2450
Pu 0.7512 0.7414 0.7550
Ga 0.5000 0.5000 0.5000
Sn 0.0000 0.0000 0.0000
Au 0.1774 0.8110 0.3317
Au 0.2610 0.5612 0.9161
Au 0.3224 0.1874 0.6692
Au 0.6776 0.8126 0.3308
Au 0.7390 0.4388 0.0839
Au 0.8226 0.1890 0.6683


(2)
Theoretical powder diffractogram
Compound: AcPrGeIr2
Radiation: Cu Kα
Structure: a cell relaxed with GGA-PBE
Peak positions follow from Bragg's law for the DFT cell and can differ from measured ones.

Largest 10 diffraction maxima, most intense first, 10° ≤ 2θ ≤ 90°:
2θ (°)	intensity
32.89	100
38.86	23
26.81	20
41.06	18
27.84	17
40.63	14
46.55	14
66.61	13
57.81	13
62.20	12

Cell and atoms:
a b c (Å): 3.9018 4.6347 13.3037
angles (deg): 90.00 90.00 90.00
Element x y z (fractional)
Ac 0.0000 0.0000 0.0000
Ac 0.5000 0.5000 0.5000
Pr 0.0000 0.5000 0.7735
Pr 0.5000 0.0000 0.2735
Ge 0.0000 0.0000 0.6240
Ge 0.5000 0.5000 0.1240
Ir 0.0000 0.0000 0.4392
Ir 0.0000 0.5000 0.2470
Ir 0.5000 0.0000 0.7470
Ir 0.5000 0.5000 0.9392


(3)
Theoretical powder diffractogram
Compound: CaTlCdIn
Radiation: Cu Kα
Structure: a cell relaxed with GGA-PBE
Peak positions follow from Bragg's law for the DFT cell and can differ from measured ones.

Largest 10 diffraction maxima, most intense first, 10° ≤ 2θ ≤ 90°:
2θ (°)	intensity
32.69	100
36.81	18
38.30	16
38.65	16
63.72	14
65.73	13
66.21	13
54.17	12
54.44	11
68.51	11

Cell and atoms:
a b c (Å): 4.6589 4.6996 4.8832
angles (deg): 90.00 90.00 90.00
Element x y z (fractional)
Ca 0.0000 0.0000 0.0000
Tl 0.5000 0.5000 0.0000
Cd 0.5000 0.0000 0.5000
In 0.0000 0.5000 0.5000


(4)
Theoretical powder diffractogram
Compound: Dy2Cd16Sn
Radiation: Cu Kα
Structure: a cell relaxed with GGA-PBE
Peak positions follow from Bragg's law for the DFT cell and can differ from measured ones.

Largest 10 diffraction maxima, most intense first, 10° ≤ 2θ ≤ 90°:
2θ (°)	intensity
35.51	100
36.68	37
30.29	36
35.12	28
39.78	27
65.28	19
53.81	13
40.84	13
63.00	12
48.28	11

Cell and atoms:
a b c (Å): 7.6714 7.6714 7.6714
angles (deg): 83.55 83.55 83.55
Element x y z (fractional)
Dy 0.0000 0.0000 0.0000
Dy 0.3440 0.3440 0.3440
Cd 0.0139 0.0139 0.5434
Cd 0.0139 0.5434 0.0139
Cd 0.2108 0.6474 0.6474
Cd 0.3025 0.3025 0.8985
Cd 0.3025 0.8985 0.3025
Cd 0.3567 0.6792 0.9905
Cd 0.3567 0.9905 0.6792
Cd 0.5434 0.0139 0.0139
Cd 0.5853 0.5853 0.5853
Cd 0.6474 0.2108 0.6474
Cd 0.6474 0.6474 0.2108
Cd 0.6792 0.3567 0.9905
Cd 0.6792 0.9905 0.3567
Cd 0.8985 0.3025 0.3025
Cd 0.9905 0.3567 0.6792
Cd 0.9905 0.6792 0.3567
Sn 0.7806 0.7806 0.7806


(5)
Theoretical powder diffractogram
Compound: CsC2I3N2
Radiation: Cu Kα
Structure: a cell relaxed with GGA-PBE
Peak positions follow from Bragg's law for the DFT cell and can differ from measured ones.

Largest 10 diffraction maxima, most intense first, 10° ≤ 2θ ≤ 90°:
2θ (°)	intensity
24.48	100
23.57	68
40.99	36
18.51	33
30.85	29
19.88	27
40.40	25
32.33	23
41.99	21
30.14	20

Cell and atoms:
a b c (Å): 7.5478 16.6167 4.7927
angles (deg): 90.00 90.00 90.00
Element x y z (fractional)
Cs 0.2500 0.2500 0.1729
Cs 0.7500 0.7500 0.8271
C 0.2500 0.0472 0.7268
C 0.2500 0.4528 0.7268
C 0.7500 0.5472 0.2732
C 0.7500 0.9528 0.2732
I 0.2500 0.5707 0.8631
I 0.2500 0.7500 0.1255
I 0.2500 0.9293 0.8631
I 0.7500 0.0707 0.1369
I 0.7500 0.2500 0.8745
I 0.7500 0.4293 0.1369
N 0.2500 0.1149 0.6569
N 0.2500 0.3851 0.6569
N 0.7500 0.6149 0.3431
N 0.7500 0.8851 0.3431


(6)
Theoretical powder diffractogram
Compound: PmSm12Sc2
Radiation: Cu Kα
Structure: a cell relaxed with GGA-PBE
Peak positions follow from Bragg's law for the DFT cell and can differ from measured ones.

Largest 10 diffraction maxima, most intense first, 10° ≤ 2θ ≤ 90°:
2θ (°)	intensity
30.70	100
31.32	94
34.39	64
36.70	46
51.17	41
60.45	29
84.10	21
62.38	17
60.05	16
60.07	15

Cell and atoms:
a b c (Å): 3.6286 4.8990 28.1783
angles (deg): 90.00 93.68 90.00
Element x y z (fractional)
Pm 0.0000 0.0000 0.0000
Sm 0.0697 0.0000 0.1320
Sm 0.1934 0.0000 0.3817
Sm 0.2745 0.5000 0.5519
Sm 0.3354 0.5000 0.6801
Sm 0.3960 0.5000 0.8025
Sm 0.4656 0.5000 0.9336
Sm 0.5344 0.5000 0.0664
Sm 0.6040 0.5000 0.1975
Sm 0.6646 0.5000 0.3199
Sm 0.7255 0.5000 0.4481
Sm 0.8066 0.0000 0.6183
Sm 0.9303 0.0000 0.8680
Sc 0.1345 0.0000 0.2586
Sc 0.8655 0.0000 0.7414


(7)
Theoretical powder diffractogram
Compound: HoPd8Au6
Radiation: Cu Kα
Structure: a cell relaxed with GGA-PBE
Peak positions follow from Bragg's law for the DFT cell and can differ from measured ones.

Largest 10 diffraction maxima, most intense first, 10° ≤ 2θ ≤ 90°:
2θ (°)	intensity
38.74	100
42.86	45
33.37	30
81.73	19
52.05	17
68.65	15
70.14	13
69.14	12
25.07	11
72.99	9

Cell and atoms:
a b c (Å): 8.2032 8.2032 4.6465
angles (deg): 90.00 90.00 120.00
Element x y z (fractional)
Ho 0.0000 0.0000 0.0000
Pd 0.0000 0.3261 0.5000
Pd 0.0000 0.6739 0.5000
Pd 0.3261 0.0000 0.5000
Pd 0.3261 0.3261 0.5000
Pd 0.3333 0.6667 0.5000
Pd 0.6667 0.3333 0.5000
Pd 0.6739 0.0000 0.5000
Pd 0.6739 0.6739 0.5000
Au 0.2140 0.4280 0.0000
Au 0.2140 0.7860 0.0000
Au 0.4280 0.2140 0.0000
Au 0.5720 0.7860 0.0000
Au 0.7860 0.2140 0.0000
Au 0.7860 0.5720 0.0000


(8)
Theoretical powder diffractogram
Compound: Ho2TmInN4
Radiation: Cu Kα
Structure: a cell relaxed with GGA-PBE
Peak positions follow from Bragg's law for the DFT cell and can differ from measured ones.

Largest 10 diffraction maxima, most intense first, 10° ≤ 2θ ≤ 90°:
2θ (°)	intensity
31.99	100
32.27	98
37.39	94
53.58	49
37.03	48
53.70	32
64.41	28
63.63	22
63.87	22
66.90	16

Cell and atoms:
a b c (Å): 5.9091 3.4224 5.9224
angles (deg): 90.00 110.31 90.00
Element x y z (fractional)
Ho 0.0000 0.0000 0.0000
Ho 0.0000 0.5000 0.5000
Tm 0.5000 0.0000 0.5000
In 0.5000 0.5000 0.0000
N 0.2464 0.5000 0.2575
N 0.2506 0.0000 0.7484
N 0.7494 0.0000 0.2516
N 0.7536 0.5000 0.7425


(9)
Theoretical powder diffractogram
Compound: Th7Al2In2
Radiation: Cu Kα
Structure: a cell relaxed with GGA-PBE
Peak positions follow from Bragg's law for the DFT cell and can differ from measured ones.

Largest 10 diffraction maxima, most intense first, 10° ≤ 2θ ≤ 90°:
2θ (°)	intensity
26.43	100
36.21	68
27.72	55
31.78	55
24.34	37
35.87	31
29.09	26
40.43	20
57.24	17
54.41	16

Cell and atoms:
a b c (Å): 7.0320 7.0320 7.3252
angles (deg): 90.00 90.00 106.43
Element x y z (fractional)
Th 0.0000 0.0000 0.0000
Th 0.0000 0.5000 0.2800
Th 0.0000 0.5000 0.7200
Th 0.5000 0.0000 0.2800
Th 0.5000 0.0000 0.7200
Th 0.5000 0.5000 0.2550
Th 0.5000 0.5000 0.7450
Al 0.2787 0.7213 0.0000
Al 0.7213 0.2787 0.0000
In 0.1663 0.1663 0.5000
In 0.8337 0.8337 0.5000


(10)
Theoretical powder diffractogram
Compound: TiAl8Ir2
Radiation: Cu Kα
Structure: a cell relaxed with GGA-PBE
Peak positions follow from Bragg's law for the DFT cell and can differ from measured ones.

Largest 10 diffraction maxima, most intense first, 10° ≤ 2θ ≤ 90°:
2θ (°)	intensity
40.56	100
25.45	78
15.47	63
26.11	48
23.41	39
28.18	33
29.92	32
46.04	24
45.40	23
42.41	20

Cell and atoms:
a b c (Å): 7.1524 7.1524 7.1524
angles (deg): 148.00 115.81 73.53
Element x y z (fractional)
Ti 0.0000 0.0000 0.0000
Al 0.1164 0.8409 0.2755
Al 0.1566 0.6566 0.5000
Al 0.3093 0.5000 0.8093
Al 0.4345 0.1591 0.2755
Al 0.5655 0.8409 0.7245
Al 0.6907 0.5000 0.1907
Al 0.8434 0.3434 0.5000
Al 0.8836 0.1591 0.7245
Ir 0.3007 0.3007 0.0000
Ir 0.6993 0.6993 0.0000


(11)
Theoretical powder diffractogram
Compound: CeCdPb
Radiation: Cu Kα
Structure: a cell relaxed with GGA-PBE
Peak positions follow from Bragg's law for the DFT cell and can differ from measured ones.

Largest 10 diffraction maxima, most intense first, 10° ≤ 2θ ≤ 90°:
2θ (°)	intensity
33.93	100
32.66	90
59.91	32
47.81	31
64.90	27
60.71	19
43.25	17
80.75	14
85.20	13
71.40	12

Cell and atoms:
a b c (Å): 5.2842 5.2842 6.8488
angles (deg): 90.00 90.00 120.00
Element x y z (fractional)
Ce 0.0000 0.0000 0.2257
Ce 0.0000 0.0000 0.7743
Cd 0.3333 0.6667 0.0000
Cd 0.6667 0.3333 0.0000
Pb 0.3333 0.6667 0.5000
Pb 0.6667 0.3333 0.5000


(12)
Theoretical powder diffractogram
Compound: LiTb2TaN4
Radiation: Cu Kα
Structure: a cell relaxed with GGA-PBE
Peak positions follow from Bragg's law for the DFT cell and can differ from measured ones.

Largest 10 diffraction maxima, most intense first, 10° ≤ 2θ ≤ 90°:
2θ (°)	intensity
32.47	100
20.80	52
37.71	48
54.29	38
37.57	26
64.60	16
64.88	14
33.79	12
64.71	12
51.43	9

Cell and atoms:
a b c (Å): 5.8609 4.7706 5.8530
angles (deg): 66.05 48.07 65.88
Element x y z (fractional)
Li 0.0000 0.0000 0.0000
Tb 0.2348 0.2348 0.2652
Tb 0.7348 0.7348 0.7652
Ta 0.4412 0.4412 0.5588
N 0.0344 0.4826 0.9656
N 0.2784 0.7077 0.2923
N 0.4826 0.0344 0.5174
N 0.7077 0.2784 0.7216


Please write out number 2 again, unchanged.
Theoretical powder diffractogram
Compound: AcPrGeIr2
Radiation: Cu Kα
Structure: a cell relaxed with GGA-PBE
Peak positions follow from Bragg's law for the DFT cell and can differ from measured ones.

Largest 10 diffraction maxima, most intense first, 10° ≤ 2θ ≤ 90°:
2θ (°)	intensity
32.89	100
38.86	23
26.81	20
41.06	18
27.84	17
40.63	14
46.55	14
66.61	13
57.81	13
62.20	12

Cell and atoms:
a b c (Å): 3.9018 4.6347 13.3037
angles (deg): 90.00 90.00 90.00
Element x y z (fractional)
Ac 0.0000 0.0000 0.0000
Ac 0.5000 0.5000 0.5000
Pr 0.0000 0.5000 0.7735
Pr 0.5000 0.0000 0.2735
Ge 0.0000 0.0000 0.6240
Ge 0.5000 0.5000 0.1240
Ir 0.0000 0.0000 0.4392
Ir 0.0000 0.5000 0.2470
Ir 0.5000 0.0000 0.7470
Ir 0.5000 0.5000 0.9392